# 1
Diffraction record for Ho2Mn12P7. The X-ray diffraction stick pattern is theoretical, not measured: it uses a crystal structure in Alexandria, relaxed with PBE and Cu Kα (λ = 1.5418 Å).

The 6 most intense peaks (2θ from 10° to 90°), sorted by position:
2theta	Rel. int.
27.16	13
33.45	17
38.81	100
50.76	14
52.16	16
75.77	12

Cell and atoms:
```
Ho2Mn12P7
1.0
9.278 0.000 0.000
-4.639 8.035 0.000
0.000 0.000 3.597
Ho Mn P
2 12 7
direct
0.000 0.000 0.000 Ho
0.333 0.667 0.500 Ho
0.042 0.285 0.500 Mn
0.105 0.727 0.000 Mn
0.243 0.958 0.500 Mn
0.273 0.378 0.000 Mn
0.439 0.209 0.000 Mn
0.509 0.452 0.500 Mn
0.548 0.057 0.500 Mn
0.622 0.895 0.000 Mn
0.715 0.757 0.500 Mn
0.770 0.561 0.000 Mn
0.791 0.230 0.000 Mn
0.943 0.491 0.500 Mn
0.075 0.462 0.000 P
0.255 0.213 0.500 P
0.387 0.925 0.000 P
0.538 0.613 0.000 P
0.667 0.333 0.500 P
0.787 0.042 0.500 P
0.958 0.745 0.500 P
```

# 2
Diffraction record for Pr4Ho2Mn23. The X-ray diffraction stick pattern is theoretical, not measured: it uses a crystal structure in Alexandria, relaxed with PBE and Cu Kα (λ = 1.5418 Å).

The 6 most intense peaks (2θ from 10° to 90°), sorted by position:
2theta	Rel. int.
24.91	31
31.47	23
35.48	24
37.71	100
41.15	40
41.28	75

Cell and atoms:
```
Pr4Ho2Mn23
1.0
-4.384 6.167 4.390
4.384 -6.167 4.390
4.384 6.167 -4.390
Pr Ho Mn
4 2 23
direct
0.199 0.000 0.199 Pr
0.203 0.000 0.796 Pr
0.203 0.407 0.204 Pr
0.801 0.000 0.801 Pr
0.791 0.583 0.792 Ho
0.791 0.999 0.208 Ho
0.137 0.759 0.378 Mn
0.177 0.356 0.533 Mn
0.177 0.644 0.821 Mn
0.180 0.357 0.822 Mn
0.381 0.244 0.621 Mn
0.381 0.759 0.622 Mn
0.381 0.760 0.137 Mn
0.469 0.645 0.823 Mn
0.505 0.001 0.003 Mn
0.505 0.005 0.500 Mn
0.505 0.502 0.504 Mn
0.509 0.509 0.000 Mn
0.535 0.357 0.178 Mn
0.623 0.244 0.380 Mn
0.624 0.244 0.863 Mn
0.624 0.760 0.379 Mn
0.822 0.645 0.177 Mn
0.823 0.356 0.179 Mn
0.823 0.644 0.467 Mn
0.864 0.244 0.620 Mn
0.995 0.495 0.500 Mn
0.998 0.001 0.496 Mn
0.998 0.502 0.997 Mn
```

# 3
Diffraction record for HoPu2MnSe5. The X-ray diffraction stick pattern is theoretical, not measured: it uses a crystal structure in Alexandria, relaxed with PBE and Cu Kα (λ = 1.5418 Å).

The 6 most intense peaks (2θ from 10° to 90°), sorted by position:
2theta	Rel. int.
23.66	30
31.23	100
31.83	33
37.08	45
44.85	26
45.38	31

Cell and atoms:
```
HoPu2MnSe5
1.0
2.021 -8.656 0.000
2.021 8.656 0.000
0.000 0.000 12.523
Ho Pu Mn Se
2 4 2 10
direct
0.199 0.801 0.500 Ho
0.801 0.199 0.000 Ho
0.112 0.888 0.184 Pu
0.130 0.870 0.798 Pu
0.870 0.130 0.298 Pu
0.888 0.112 0.684 Pu
0.491 0.509 0.968 Mn
0.509 0.491 0.468 Mn
0.046 0.954 0.569 Se
0.287 0.713 0.159 Se
0.313 0.687 0.842 Se
0.362 0.638 0.497 Se
0.496 0.504 0.274 Se
0.504 0.496 0.774 Se
0.638 0.362 0.997 Se
0.687 0.313 0.342 Se
0.713 0.287 0.659 Se
0.954 0.046 0.069 Se
```

# 4
Diffraction record for RbHo2MnTe4. The X-ray diffraction stick pattern is theoretical, not measured: it uses a crystal structure in Alexandria, relaxed with PBE and Cu Kα (λ = 1.5418 Å).

The 6 most intense peaks (2θ from 10° to 90°), sorted by position:
2theta	Rel. int.
12.85	37
25.76	56
27.30	99
29.10	100
39.77	66
40.94	62

Cell and atoms:
```
RbHo2MnTe4
1.0
2.204 -7.689 0.000
2.204 7.689 0.000
0.000 0.000 15.487
Rb Ho Mn Te
2 4 2 8
direct
0.114 0.886 0.750 Rb
0.886 0.114 0.250 Rb
0.370 0.630 0.563 Ho
0.370 0.630 0.937 Ho
0.630 0.370 0.063 Ho
0.630 0.370 0.437 Ho
0.166 0.834 0.250 Mn
0.834 0.166 0.750 Mn
0.000 0.000 0.000 Te
0.000 0.000 0.500 Te
0.264 0.736 0.108 Te
0.264 0.736 0.392 Te
0.435 0.565 0.750 Te
0.565 0.435 0.250 Te
0.736 0.264 0.608 Te
0.736 0.264 0.892 Te
```

# 5
Diffraction record for Ho2Mn9Re. The X-ray diffraction stick pattern is theoretical, not measured: it uses a crystal structure in Alexandria, relaxed with PBE and Cu Kα (λ = 1.5418 Å).

The 6 most intense peaks (2θ from 10° to 90°), sorted by position:
2theta	Rel. int.
32.85	77
35.90	100
37.43	71
42.30	62
43.52	56
43.65	59

Cell and atoms:
```
Ho2Mn9Re
1.0
4.111 -2.498 0.000
4.111 2.498 0.000
-2.711 0.000 8.254
Ho Mn Re
2 9 1
direct
0.138 0.138 0.419 Ho
0.862 0.862 0.581 Ho
0.070 0.570 0.230 Mn
0.337 0.337 0.002 Mn
0.424 0.424 0.761 Mn
0.430 0.930 0.770 Mn
0.500 0.500 0.500 Mn
0.570 0.070 0.230 Mn
0.576 0.576 0.239 Mn
0.663 0.663 0.998 Mn
0.930 0.430 0.770 Mn
0.000 0.000 0.000 Re
```

# 6
Diffraction record for HoMn2Re. The X-ray diffraction stick pattern is theoretical, not measured: it uses a crystal structure in Alexandria, relaxed with PBE and Cu Kα (λ = 1.5418 Å).

The 6 most intense peaks (2θ from 10° to 90°), sorted by position:
2theta	Rel. int.
23.12	57
29.33	54
36.76	100
37.67	93
41.12	68
47.70	47

Cell and atoms:
```
HoMn2Re
1.0
6.091 0.000 0.000
0.000 6.334 0.000
-6.084 0.000 7.693
Ho Mn Re
4 8 4
direct
0.000 0.226 0.250 Ho
0.000 0.774 0.750 Ho
0.500 0.227 0.750 Ho
0.500 0.773 0.250 Ho
0.000 0.500 0.000 Mn
0.000 0.500 0.500 Mn
0.142 0.109 0.000 Mn
0.142 0.891 0.500 Mn
0.500 0.000 0.000 Mn
0.500 0.000 0.500 Mn
0.858 0.109 0.500 Mn
0.858 0.891 0.000 Mn
0.000 0.283 0.750 Re
0.000 0.717 0.250 Re
0.500 0.282 0.250 Re
0.500 0.718 0.750 Re
```